Theoretical powder XRD pattern
Compound: Dy5BiIr2
Radiation: a wavelength of 1.5418 Å
Structure: a cell relaxed with PBE
Intensities are scaled so that the largest is 100.

Most intense lines, 10° ≤ 2θ ≤ 80°, sorted by position:
| 2theta | d [Å] | Rel. int. | hkl |
| --- | --- | --- | --- |
| 13.01 | 6.804 | 17 | 0 0 2 |
| 30.84 | 2.899 | 19 | 1 1 4 |
| 32.28 | 2.773 | 100 | 2 1 3 |
| 34.93 | 2.569 | 23 | 2 0 4 |
| 36.25 | 2.478 | 62 | 3 1 0 |
| 42.04 | 2.149 | 35 | 2 1 5 |
| 52.18 | 1.753 | 18 | 4 2 0 |
| 53.92 | 1.700 | 14 | 0 0 8 |
| 66.71 | 1.402 | 27 | 3 1 8 |
| 67.61 | 1.386 | 22 | 4 4 0 |

Atomic structure:
Cell lengths 7.8375, 7.8375, 13.6081 Å; angles 90.00, 90.00, 90.00 degrees
Space group I4/mcm (No. 140)
Unique sites:
Dy1 0.0000 0.0000 0.0000 [4 per cell]
Dy2 0.1561 0.3439 0.1310 [16 per cell]
Bi1 0.0000 0.0000 0.2500 [4 per cell]
Ir1 0.1403 0.3597 0.5000 [8 per cell]